1.
K2Cr2CuP2O14: calculated X-ray diffraction stick pattern (Cu Kα (weighted mean of Kα1 and Kα2)), based on the GGA+U geometry in the Materials Project.

Atomic structure:
Cell: 9.864 7.172 8.907 Å, 90.00 91.45 90.00°
Space group P2_1/c (No. 14)
Asymmetric unit:
K 0.195 0.131 0.171 [4 per cell]
Cr 0.156 0.621 0.110 [4 per cell]
Cu 0.500 0.000 0.500 [2 per cell]
P 0.402 0.633 0.312 [4 per cell]
O 0.052 0.504 0.213 [4 per cell]
O 0.076 0.721 0.515 [4 per cell]
O 0.237 0.026 0.504 [4 per cell]
O 0.286 0.746 0.226 [4 per cell]
O 0.342 0.044 0.877 [4 per cell]
O 0.468 0.747 0.938 [4 per cell]
O 0.482 0.086 0.299 [4 per cell]

Main lines, in order of falling intensity (10 to 80 degrees two-theta):
hkl 2 0 -2, 2θ 26.63, I = 100
hkl 0 2 1, 2θ 26.80, I = 99
hkl 0 1 1, 2θ 15.87, I = 86
hkl 3 1 1, 2θ 31.81, I = 74
hkl 3 0 0, 2θ 27.13, I = 48
hkl 1 1 0, 2θ 15.28, I = 47
hkl 1 1 3, 2θ 34.14, I = 35
hkl 2 0 2, 2θ 27.33, I = 30
hkl 1 0 2, 2θ 22.11, I = 29
hkl 0 1 3, 2θ 32.64, I = 27
hkl 1 2 -3, 2θ 40.32, I = 26
hkl 1 1 1, 2θ 18.38, I = 25

***

2.
ScBi3Mo2O12: calculated X-ray diffraction stick pattern (Cu Kα (weighted mean of Kα1 and Kα2)), based on the GGA+U geometry in the Materials Project.

Atomic structure:
Cell: 17.196 11.755 5.385 Å, 90.00 104.61 90.00°
Space group C2/c (No. 15)
Asymmetric unit:
Sc 0.000 0.090 0.250 [4 per cell]
Bi 0.000 0.337 0.750 [4 per cell]
Bi 0.154 0.117 0.931 [8 per cell]
Mo 0.169 0.371 0.427 [8 per cell]
O 0.049 0.204 0.031 [8 per cell]
O 0.082 0.023 0.584 [8 per cell]
O 0.095 0.456 0.221 [8 per cell]
O 0.116 0.282 0.620 [8 per cell]
O 0.216 0.287 0.231 [8 per cell]
O 0.247 0.455 0.633 [8 per cell]

Main lines, in order of falling intensity (10 to 80 degrees two-theta):
hkl 2 2 1, 2θ 27.02, I = 100
hkl 4 2 -1, 2θ 28.26, I = 84
hkl 1 1 -1, 2θ 18.15, I = 25
hkl 2 4 -2, 2θ 45.75, I = 22
hkl 6 0 0, 2θ 32.28, I = 22
hkl 6 4 0, 2θ 44.94, I = 22
hkl 0 4 0, 2θ 30.42, I = 21
hkl 2 0 -2, 2θ 33.34, I = 20
hkl 3 1 0, 2θ 17.68, I = 15
hkl 4 0 2, 2θ 45.50, I = 14
hkl 8 2 1, 2θ 53.72, I = 14
hkl 0 2 3, 2θ 55.13, I = 12

***

3.
La2FeSe2O2: calculated X-ray diffraction stick pattern (Cu Kα (weighted mean of Kα1 and Kα2)), based on the GGA+U geometry in the Materials Project.

Atomic structure:
Cell: 11.590 3.996 7.221 Å, 90.00 121.37 90.00°
Space group C2/m (No. 12)
Asymmetric unit:
La 0.193 0.000 0.244 [4 per cell]
Fe 0.000 0.000 0.500 [2 per cell]
Se 0.057 0.500 0.816 [4 per cell]
O 0.196 0.000 0.581 [4 per cell]

Main lines, in order of falling intensity (10 to 80 degrees two-theta):
hkl 1 1 1, 2θ 30.47, I = 100
hkl 3 1 -2, 2θ 35.62, I = 64
hkl 4 0 -1, 2θ 31.17, I = 56
hkl 3 1 0, 2θ 35.28, I = 31
hkl 0 0 2, 2θ 28.96, I = 30
hkl 0 2 0, 2θ 45.39, I = 26
hkl 1 1 -1, 2θ 25.52, I = 24
hkl 4 2 -1, 2θ 56.09, I = 21
hkl 4 0 1, 2θ 46.12, I = 20
hkl 5 1 0, 2θ 51.53, I = 20
hkl 2 0 -3, 2θ 37.65, I = 16
hkl 1 1 3, 2θ 55.17, I = 15

***

4.
K2CoSe2O6: calculated X-ray diffraction stick pattern (Cu Kα (weighted mean of Kα1 and Kα2)), based on the GGA+U geometry in the Materials Project.

Atomic structure:
Cell: 5.592 5.600 7.061 Å, 112.75 90.49 119.79°
Space group P-1 (No. 2)
Asymmetric unit:
K 0.194 0.389 0.084 [2 per cell]
Co 0.000 0.000 0.500 [1 per cell]
Se 0.369 0.738 0.606 [2 per cell]
O 0.244 0.976 0.719 [2 per cell]
O 0.245 0.493 0.723 [2 per cell]
O 0.269 0.023 0.278 [2 per cell]

Main lines, in order of falling intensity (10 to 80 degrees two-theta):
hkl 1 1 -1, 2θ 31.93, I = 100
hkl 0 0 1, 2θ 14.05, I = 91
hkl 0 1 1, 2θ 29.80, I = 51
hkl 2 -1 0, 2θ 32.01, I = 50
hkl 1 0 -2, 2θ 29.92, I = 50
hkl 1 -1 2, 2θ 30.16, I = 48
hkl 1 0 1, 2θ 26.39, I = 30
hkl 0 1 -3, 2θ 38.30, I = 23
hkl 1 1 0, 2θ 34.95, I = 20
hkl 4 -2 0, 2θ 66.95, I = 18
hkl 2 -4 2, 2θ 66.81, I = 18
hkl 1 1 1, 2θ 43.07, I = 17

***

5.
Cs3Fe2F9: calculated X-ray diffraction stick pattern (Cu Kα (weighted mean of Kα1 and Kα2)), based on the GGA+U geometry in the Materials Project.

Atomic structure:
Cell: 6.4574 6.4574 15.1719 Å, 90.00 90.00 120.00°
Space group P6_3/mmc (No. 194)
Asymmetric unit:
Cs 0.3333 0.6667 0.0671 [4 per cell]
Cs 0.3333 0.6667 0.7500 [2 per cell]
Fe 0.0000 0.0000 0.1530 [4 per cell]
F 0.1318 0.2636 0.2500 [6 per cell]
F 0.1497 0.2993 0.5950 [12 per cell]

Main lines, in order of falling intensity (10 to 80 degrees two-theta):
hkl 1 0 3, 2θ 23.72, I = 100
hkl 1 1 0, 2θ 27.63, I = 86
hkl 2 0 3, 2θ 36.73, I = 81
hkl 2 1 3, 2θ 46.57, I = 25
hkl 2 2 0, 2θ 57.05, I = 25
hkl 2 0 6, 2θ 48.54, I = 19
hkl 2 1 6, 2θ 56.77, I = 18
hkl 3 1 3, 2θ 62.65, I = 17
hkl 3 0 0, 2θ 48.86, I = 16
hkl 1 0 6, 2θ 39.10, I = 15
hkl 1 0 4, 2θ 28.43, I = 15
hkl 0 0 6, 2θ 35.50, I = 11

***

6.
Li3Fe8B8O24: calculated X-ray diffraction stick pattern (Cu Kα (weighted mean of Kα1 and Kα2)), based on the GGA+U geometry in the Materials Project.

Atomic structure:
Cell: 5.228 9.160 11.387 Å, 112.77 102.92 90.62°
Space group P1 (No. 1)
Asymmetric unit:
Li 0.000 0.000 0.000 [1 per cell]
Li 0.226 0.264 0.515 [1 per cell]
Li 0.536 0.235 0.773 [1 per cell]
Fe 0.006 0.686 0.034 [1 per cell]
Fe 0.052 0.418 0.783 [1 per cell]
Fe 0.253 0.619 0.540 [1 per cell]
Fe 0.296 0.335 0.290 [1 per cell]
Fe 0.502 0.198 0.034 [1 per cell]
Fe 0.538 0.909 0.782 [1 per cell]
Fe 0.737 0.101 0.536 [1 per cell]
Fe 0.789 0.829 0.287 [1 per cell]
B 0.004 0.362 0.034 [1 per cell]
B 0.042 0.090 0.799 [1 per cell]
B 0.236 0.952 0.538 [1 per cell]
B 0.290 0.657 0.285 [1 per cell]
B 0.508 0.871 0.042 [1 per cell]
B 0.552 0.568 0.782 [1 per cell]
B 0.757 0.443 0.531 [1 per cell]
B 0.785 0.160 0.288 [1 per cell]
O 0.052 0.197 0.310 [1 per cell]
O 0.100 0.735 0.232 [1 per cell]
O 0.117 0.474 0.003 [1 per cell]
O 0.169 0.265 0.085 [1 per cell]
O 0.203 0.551 0.334 [1 per cell]
O 0.245 0.851 0.035 [1 per cell]
O 0.324 0.114 0.838 [1 per cell]
O 0.362 0.840 0.579 [1 per cell]
O 0.374 0.093 0.562 [1 per cell]
O 0.419 0.431 0.767 [1 per cell]
O 0.426 0.671 0.729 [1 per cell]
O 0.472 0.424 0.490 [1 per cell]
O 0.545 0.679 0.289 [1 per cell]
O 0.607 0.246 0.234 [1 per cell]
O 0.612 0.983 0.004 [1 per cell]
O 0.686 0.045 0.320 [1 per cell]
O 0.688 0.781 0.087 [1 per cell]
O 0.740 0.337 0.017 [1 per cell]
O 0.821 0.605 0.845 [1 per cell]
O 0.879 0.332 0.571 [1 per cell]
O 0.897 0.565 0.527 [1 per cell]
O 0.907 0.188 0.746 [1 per cell]
O 0.920 0.975 0.821 [1 per cell]
O 0.969 0.921 0.478 [1 per cell]

Main lines, in order of falling intensity (10 to 80 degrees two-theta):
hkl 1 -1 1, 2θ 21.39, I = 100
hkl 0 0 4, 2θ 35.29, I = 94
hkl 1 1 -1, 2θ 19.64, I = 85
hkl 0 2 -1, 2θ 19.42, I = 50
hkl -1 1 2, 2θ 26.17, I = 43
hkl 1 3 -2, 2θ 34.17, I = 40
hkl 1 1 0, 2θ 21.45, I = 38
hkl -2 2 1, 2θ 40.50, I = 34
hkl 2 0 -1, 2θ 34.31, I = 31
hkl 0 2 1, 2θ 25.99, I = 31
hkl 0 2 -3, 2θ 26.37, I = 28
hkl 1 -3 1, 2θ 33.84, I = 28

***

7.
MgFe3O3F3: calculated X-ray diffraction stick pattern (Cu Kα (weighted mean of Kα1 and Kα2)), based on the GGA+U geometry in the Materials Project.

Atomic structure:
Cell: 5.264 5.277 5.657 Å, 63.20 62.55 60.18°
Space group P1 (No. 1)
Asymmetric unit:
Mg 0.000 0.000 0.000 [1 per cell]
Fe 0.186 0.188 0.438 [1 per cell]
Fe 0.474 0.468 0.591 [1 per cell]
Fe 0.716 0.709 0.864 [1 per cell]
O 0.082 0.406 0.713 [1 per cell]
O 0.409 0.794 0.723 [1 per cell]
O 0.793 0.074 0.721 [1 per cell]
F 0.281 0.912 0.206 [1 per cell]
F 0.610 0.300 0.199 [1 per cell]
F 0.900 0.612 0.199 [1 per cell]

Main lines, in order of falling intensity (10 to 80 degrees two-theta):
hkl 1 -1 0, 2θ 33.95, I = 100
hkl 0 1 -1, 2θ 31.32, I = 80
hkl 1 0 -1, 2θ 31.69, I = 79
hkl 1 1 2, 2θ 31.83, I = 74
hkl 2 1 1, 2θ 34.06, I = 51
hkl 1 1 0, 2θ 22.97, I = 44
hkl 1 -1 1, 2θ 38.67, I = 39
hkl 0 0 1, 2θ 18.46, I = 35
hkl 3 3 2, 2θ 60.96, I = 35
hkl 2 0 2, 2θ 47.01, I = 33
hkl 2 2 0, 2θ 46.88, I = 33
hkl 0 2 2, 2θ 47.41, I = 32

***

8.
YCr4Cu3O12: calculated X-ray diffraction stick pattern (Cu Kα (weighted mean of Kα1 and Kα2)), based on the GGA+U geometry in the Materials Project.

Atomic structure:
Cell: 7.379 7.389 7.399 Å, 90.00 90.00 90.00°
Space group Immm (No. 71)
Asymmetric unit:
Y 0.000 0.000 0.000 [2 per cell]
Cr 0.250 0.250 0.250 [8 per cell]
Cu 0.000 0.000 0.500 [2 per cell]
Cu 0.000 0.500 0.000 [2 per cell]
Cu 0.000 0.500 0.500 [2 per cell]
O 0.000 0.168 0.307 [8 per cell]
O 0.168 0.307 0.000 [8 per cell]
O 0.194 0.500 0.333 [8 per cell]

Main lines, in order of falling intensity (10 to 80 degrees two-theta):
hkl 0 2 2, 2θ 34.33, I = 100
hkl 2 2 4, 2θ 61.48, I = 48
hkl 0 4 0, 2θ 49.30, I = 17
hkl 4 0 0, 2θ 49.40, I = 8
hkl 4 0 4, 2θ 72.32, I = 8
hkl 0 3 1, 2θ 38.53, I = 7
hkl 2 1 3, 2θ 45.96, I = 5
hkl 2 2 2, 2θ 42.37, I = 4
hkl 4 4 0, 2θ 72.40, I = 4
hkl 0 0 2, 2θ 24.09, I = 2
hkl 1 1 0, 2θ 16.97, I = 1
hkl 0 6 0, 2θ 77.52, I = 1